[1]
Structure and theoretical powder XRD pattern of AcNd4ErTm2 (a PBE-relaxed structure; Cu Kα).
Lines closer than 0.1° are merged.

The 11 most intense peaks (5° ≤ 2θ ≤ 70°), most intense first:
Position (°2θ)	d_spacing	intensity
30.0	2.976	100
34.5	2.599	35
59.1	1.564	30
50.3	1.815	24
35.4	2.535	16
60.3	1.536	14
62.4	1.488	13
49.6	1.838	12
17.5	5.070	1
24.2	3.676	1
38.9	2.313	1

Atomic structure:
Lattice parameters (Å, degrees): 10.140 7.353 7.350 90.00 90.06 90.00
Positions (direct):
Ac (0.000, 0.000, 0.000)
Ac (0.500, 0.500, 0.000)
Nd (0.250, 0.250, 0.256)
Nd (0.250, 0.250, 0.744)
Nd (0.250, 0.750, 0.256)
Nd (0.250, 0.750, 0.744)
Nd (0.750, 0.250, 0.256)
Nd (0.750, 0.250, 0.744)
Nd (0.750, 0.750, 0.256)
Nd (0.750, 0.750, 0.744)
Er (0.000, 0.500, 0.500)
Er (0.500, 0.000, 0.500)
Tm (0.000, 0.000, 0.500)
Tm (0.000, 0.500, 0.000)
Tm (0.500, 0.000, 0.000)
Tm (0.500, 0.500, 0.500)



[2]
Structure and theoretical powder XRD pattern of Ti3FeS6 (a PBE-relaxed structure; Cu Kα).
Lines closer than 0.1° are merged.

The 12 most intense peaks (5° ≤ 2θ ≤ 70°), most intense first:
Position (°2θ)	d_spacing	intensity
45.1	2.012	100
34.8	2.580	90
54.6	1.681	46
18.4	4.827	23
30.7	2.911	18
20.6	4.316	17
59.0	1.564	13
15.9	5.565	13
66.4	1.408	12
27.7	3.215	9
67.3	1.391	7
32.2	2.784	6

Atomic structure:
Lattice parameters (Å, degrees): 6.501 6.501 6.501 53.21 53.21 53.21
Positions (direct):
Ti (0.000, 0.000, 0.000)
Ti (0.330, 0.330, 0.330)
Ti (0.670, 0.670, 0.670)
Fe (0.500, 0.500, 0.500)
S (0.097, 0.419, 0.749)
S (0.251, 0.903, 0.581)
S (0.419, 0.749, 0.097)
S (0.581, 0.251, 0.903)
S (0.749, 0.097, 0.419)
S (0.903, 0.581, 0.251)



[3]
Structure and theoretical powder XRD pattern of CeGa6Ir4 (a PBE-relaxed structure; Cu Kα).
Lines closer than 0.1° are merged.

The 12 most intense peaks (5° ≤ 2θ ≤ 70°), most intense first:
Position (°2θ)	d_spacing	intensity
36.2	2.482	100
43.9	2.062	89
33.3	2.691	72
37.1	2.426	69
48.5	1.878	68
49.2	1.853	48
26.7	3.342	47
27.8	3.210	47
46.4	1.958	44
69.9	1.346	33
60.8	1.523	33
68.0	1.378	15

Atomic structure:
Lattice parameters (Å, degrees): 7.412 7.412 3.915 90.00 90.00 120.00
Positions (direct):
Ce (0.000, 0.000, 0.000)
Ga (0.195, 0.390, 0.500)
Ga (0.195, 0.805, 0.500)
Ga (0.532, 0.064, 0.000)
Ga (0.532, 0.468, 0.000)
Ga (0.610, 0.805, 0.500)
Ga (0.936, 0.468, 0.000)
Ir (0.333, 0.667, 0.000)
Ir (0.404, 0.202, 0.500)
Ir (0.798, 0.202, 0.500)
Ir (0.798, 0.596, 0.500)



[4]
Structure and theoretical powder XRD pattern of BaMg2Tl3 (a PBE-relaxed structure; Cu Kα).
Lines closer than 0.1° are merged.

The 12 most intense peaks (5° ≤ 2θ ≤ 70°), most intense first:
Position (°2θ)	d_spacing	intensity
29.6	3.019	100
35.6	2.525	66
21.0	4.230	42
46.9	1.937	28
60.2	1.537	27
57.3	1.608	26
33.8	2.654	21
25.9	3.438	18
63.9	1.458	12
43.4	2.086	10
41.7	2.168	7
62.7	1.481	7

Atomic structure:
Lattice parameters (Å, degrees): 5.050 5.050 16.692 90.00 90.00 120.00
Positions (direct):
Ba (0.000, 0.000, 0.250)
Ba (0.000, 0.000, 0.750)
Mg (0.333, 0.667, 0.069)
Mg (0.333, 0.667, 0.431)
Mg (0.667, 0.333, 0.569)
Mg (0.667, 0.333, 0.931)
Tl (0.000, 0.000, 0.000)
Tl (0.000, 0.000, 0.500)
Tl (0.333, 0.667, 0.627)
Tl (0.333, 0.667, 0.873)
Tl (0.667, 0.333, 0.127)
Tl (0.667, 0.333, 0.373)



[5]
Structure and theoretical powder XRD pattern of Ca2AlH10BrO8 (a PBE-relaxed structure; Cu Kα).
Lines closer than 0.1° are merged.

The 12 most intense peaks (5° ≤ 2θ ≤ 70°), most intense first:
Position (°2θ)	d_spacing	intensity
10.5	8.399	100
21.2	4.199	83
23.2	3.836	82
30.8	2.904	81
21.5	4.125	60
39.1	2.303	43
36.2	2.482	42
31.0	2.885	39
40.8	2.211	37
38.4	2.342	37
37.8	2.381	36
38.1	2.364	30

Atomic structure:
Lattice parameters (Å, degrees): 5.770 5.823 8.918 75.68 71.30 60.39
Positions (direct):
Ca (0.195, 0.178, 0.431)
Ca (0.805, 0.822, 0.569)
Al (0.500, 0.500, 0.500)
H (0.186, 0.343, 0.728)
H (0.226, 0.197, 0.078)
H (0.253, 0.748, 0.274)
H (0.281, 0.795, 0.727)
H (0.499, 0.804, 0.921)
H (0.501, 0.196, 0.079)
H (0.719, 0.205, 0.273)
H (0.747, 0.252, 0.726)
H (0.774, 0.803, 0.922)
H (0.814, 0.657, 0.272)
Br (0.000, 0.000, 0.000)
O (0.197, 0.425, 0.619)
O (0.243, 0.773, 0.380)
O (0.308, 0.248, 0.137)
O (0.397, 0.784, 0.619)
O (0.603, 0.216, 0.381)
O (0.692, 0.752, 0.863)
O (0.757, 0.227, 0.620)
O (0.803, 0.575, 0.381)



[6]
Structure and theoretical powder XRD pattern of YWN (a PBE-relaxed structure; Cu Kα).
Lines closer than 0.1° are merged.

The 12 most intense peaks (5° ≤ 2θ ≤ 70°), most intense first:
Position (°2θ)	d_spacing	intensity
10.8	8.192	100
38.1	2.365	75
34.6	2.591	45
30.9	2.896	36
45.7	1.987	29
32.8	2.731	20
42.8	2.115	20
64.3	1.448	16
65.5	1.426	13
39.7	2.272	13
56.1	1.638	10
54.9	1.672	9

Atomic structure:
Lattice parameters (Å, degrees): 8.192 8.192 3.096 90.00 90.00 90.00
Positions (direct):
Y (0.070, 0.710, 0.000)
Y (0.290, 0.070, 0.500)
Y (0.710, 0.930, 0.500)
Y (0.930, 0.290, 0.000)
W (0.312, 0.414, 0.000)
W (0.414, 0.688, 0.500)
W (0.586, 0.312, 0.500)
W (0.688, 0.586, 0.000)
N (0.195, 0.547, 0.500)
N (0.453, 0.195, 0.000)
N (0.547, 0.805, 0.000)
N (0.805, 0.453, 0.500)



[7]
Structure and theoretical powder XRD pattern of Mn4Pt5Rh4 (a PBE-relaxed structure; Cu Kα).
Lines closer than 0.1° are merged.

The 12 most intense peaks (5° ≤ 2θ ≤ 70°), most intense first:
Position (°2θ)	d_spacing	intensity
40.2	2.243	100
46.9	1.936	32
68.2	1.376	22
46.4	1.955	17
68.6	1.369	10
30.5	2.927	9
12.7	6.980	9
28.6	3.121	7
18.0	4.936	7
24.5	3.636	5
44.4	2.042	5
35.7	2.518	4

Atomic structure:
Lattice parameters (Å, degrees): 7.249 7.249 7.249 94.17 94.17 148.70
Positions (direct):
Mn (0.144, 0.768, 0.912)
Mn (0.232, 0.144, 0.377)
Mn (0.768, 0.856, 0.623)
Mn (0.856, 0.232, 0.088)
Pt (0.000, 0.000, 0.000)
Pt (0.305, 0.550, 0.855)
Pt (0.450, 0.305, 0.755)
Pt (0.550, 0.695, 0.245)
Pt (0.695, 0.450, 0.145)
Rh (0.081, 0.388, 0.468)
Rh (0.388, 0.919, 0.307)
Rh (0.612, 0.081, 0.693)
Rh (0.919, 0.612, 0.532)



[8]
Structure and theoretical powder XRD pattern of Si2IrO (a PBE-relaxed structure; Cu Kα).
Lines closer than 0.1° are merged.

The 12 most intense peaks (5° ≤ 2θ ≤ 70°), most intense first:
Position (°2θ)	d_spacing	intensity
31.5	2.842	100
20.0	4.439	83
41.3	2.187	37
53.2	1.723	33
33.5	2.673	31
61.6	1.507	28
35.7	2.513	18
51.4	1.777	18
49.8	1.831	17
64.6	1.443	12
51.6	1.772	10
55.7	1.650	9

Atomic structure:
Lattice parameters (Å, degrees): 5.025 5.025 9.471 90.00 90.00 90.00
Positions (direct):
Si (0.204, 0.250, 0.125)
Si (0.250, 0.704, 0.375)
Si (0.250, 0.796, 0.875)
Si (0.296, 0.250, 0.625)
Si (0.704, 0.750, 0.625)
Si (0.750, 0.204, 0.875)
Si (0.750, 0.296, 0.375)
Si (0.796, 0.750, 0.125)
Ir (0.000, 0.000, 0.500)
Ir (0.000, 0.500, 0.750)
Ir (0.500, 0.000, 0.250)
Ir (0.500, 0.500, 0.000)
O (0.000, 0.000, 0.000)
O (0.000, 0.500, 0.250)
O (0.500, 0.000, 0.750)
O (0.500, 0.500, 0.500)



Repeat the second record exactly.
Structure and theoretical powder XRD pattern of Ti3FeS6 (a PBE-relaxed structure; Cu Kα).
Lines closer than 0.1° are merged.

The 12 most intense peaks (5° ≤ 2θ ≤ 70°), most intense first:
Position (°2θ)	d_spacing	intensity
45.1	2.012	100
34.8	2.580	90
54.6	1.681	46
18.4	4.827	23
30.7	2.911	18
20.6	4.316	17
59.0	1.564	13
15.9	5.565	13
66.4	1.408	12
27.7	3.215	9
67.3	1.391	7
32.2	2.784	6

Atomic structure:
Lattice parameters (Å, degrees): 6.501 6.501 6.501 53.21 53.21 53.21
Positions (direct):
Ti (0.000, 0.000, 0.000)
Ti (0.330, 0.330, 0.330)
Ti (0.670, 0.670, 0.670)
Fe (0.500, 0.500, 0.500)
S (0.097, 0.419, 0.749)
S (0.251, 0.903, 0.581)
S (0.419, 0.749, 0.097)
S (0.581, 0.251, 0.903)
S (0.749, 0.097, 0.419)
S (0.903, 0.581, 0.251)